This entry pairs a crystal structure of Al3NiPt6 with its theoretical PXRD pattern. Radiation: copper Kα. Structure: a crystal structure in Alexandria, relaxed with PBE.
Lines closer than 0.1° are merged.

Peak list (8 most intense, 2θ from 10° to 90°, most intense first)
d (Å)  2θ (°)  I_rel
2.119  42.67  100
2.126  42.52  98
3.225  27.66  76
2.215  40.73  69
2.077  43.57  49
2.820  31.73  38
2.352  38.27  36
1.612  57.12  24

Crystal structure
Cell lengths 7.325, 4.431, 9.697 Å; angles 90.00, 111.04, 90.00 degrees
Space group P2_1/m (No. 11)
Asymmetric unit:
Al 0.090 0.250 0.236
Al 0.294 0.250 0.018
Al 0.326 0.750 0.391
Ni 0.105 0.750 0.569
Pt 0.062 0.250 0.708
Pt 0.108 0.750 0.079
Pt 0.277 0.750 0.858
Pt 0.286 0.250 0.528
Pt 0.467 0.250 0.314
Pt 0.486 0.250 0.841

---

This entry pairs a crystal structure of Sm2AlNi2Pt5 with its theoretical PXRD pattern. Radiation: copper Kα. Structure: a crystal structure in Alexandria, relaxed with PBE.
Lines closer than 0.1° are merged.

Peak list (8 most intense, 2θ from 10° to 90°, most intense first)
d (Å)  2θ (°)  I_rel
2.358  38.16  100
2.261  39.88  61
2.160  41.82  48
2.860  31.28  40
1.965  46.19  34
1.483  62.63  33
3.931  22.62  27
2.197  41.09  23

Crystal structure
Cell lengths 9.321, 9.321, 3.931 Å; angles 90.00, 90.00, 90.00 degrees
Space group P4/mbm (No. 127)
Asymmetric unit:
Sm 0.174 0.326 0.000
Al 0.000 0.000 0.000
Ni 0.124 0.624 0.000
Pt 0.000 0.500 0.500
Pt 0.067 0.796 0.500

---

This entry pairs a crystal structure of Sm2AlNi3Pt12 with its theoretical PXRD pattern. Radiation: copper Kα. Structure: a crystal structure in Alexandria, relaxed with PBE.
Lines closer than 0.1° are merged.

Peak list (8 most intense, 2θ from 10° to 90°, most intense first)
d (Å)  2θ (°)  I_rel
2.807  31.88  100
1.994  45.50  54
1.977  45.91  52
1.625  56.63  20
1.148  84.40  18
1.260  75.46  18
1.404  66.63  17
1.251  76.07  17

Crystal structure
Cell lengths 7.9743, 7.9743, 19.2857 Å; angles 90.00, 90.00, 120.00 degrees
Space group R-3m (No. 166, hexagonal axes)
Asymmetric unit:
Sm 0.0000 0.0000 0.1199
Al 0.0000 0.0000 0.5000
Ni 0.0000 0.5000 0.0000
Pt 0.0021 0.5011 0.8738
Pt 0.0037 0.5019 0.3739

---

This entry pairs a crystal structure of Sm2Al2NiPt5 with its theoretical PXRD pattern. Radiation: copper Kα. Structure: a crystal structure in Alexandria, relaxed with PBE.
Lines closer than 0.1° are merged.

Peak list (8 most intense, 2θ from 10° to 90°, most intense first)
d (Å)  2θ (°)  I_rel
2.370  37.97  100
2.385  37.71  70
2.813  31.81  45
2.187  41.28  37
1.452  64.16  30
2.318  38.85  27
2.520  35.62  27
3.659  24.33  27

Crystal structure
Cell lengths 9.835, 9.835, 3.659 Å; angles 90.00, 90.00, 90.00 degrees
Space group P4/mbm (No. 127)
Asymmetric unit:
Sm 0.177 0.323 0.000
Al 0.123 0.623 0.000
Ni 0.000 0.000 0.000
Pt 0.000 0.500 0.500
Pt 0.060 0.800 0.500

---

This entry pairs a crystal structure of Pu2AlNi3 with its theoretical PXRD pattern. Radiation: copper Kα. Structure: a crystal structure in Alexandria, relaxed with PBE.
Lines closer than 0.1° are merged.

Peak list (8 most intense, 2θ from 10° to 90°, most intense first)
d (Å)  2θ (°)  I_rel
2.511  35.76  100
4.256  20.87  90
2.626  34.14  82
2.198  41.06  82
2.235  40.35  74
2.129  42.46  71
1.493  62.17  41
1.400  66.85  29

Crystal structure
Cell lengths 5.2529, 5.2529, 12.0464 Å; angles 90.00, 90.00, 120.00 degrees
Space group R-3m (No. 166, hexagonal axes)
Asymmetric unit:
Pu 0.0000 0.0000 0.1199
Al 0.0000 0.0000 0.5000
Ni 0.0000 0.5000 0.0000

---

This entry pairs a crystal structure of PuAl9Ni2 with its theoretical PXRD pattern. Radiation: copper Kα. Structure: a crystal structure in Alexandria, relaxed with PBE.
Lines closer than 0.1° are merged.

Peak list (8 most intense, 2θ from 10° to 90°, most intense first)
d (Å)  2θ (°)  I_rel
3.889  22.87  100
2.390  37.63  89
2.695  33.25  66
2.364  38.07  48
5.285  16.77  46
3.110  28.71  42
2.229  40.48  30
2.643  33.92  26

Crystal structure
Cell lengths 10.571, 10.571, 6.839 Å; angles 90.00, 90.00, 90.00 degrees
Space group I4_1/amd (No. 141, origin choice 2)
Asymmetric unit:
Pu 0.000 0.250 0.375
Al 0.000 0.250 0.875
Al 0.122 0.053 0.684
Ni 0.000 0.000 0.000

---

This entry pairs a crystal structure of PuAl8Ni4 with its theoretical PXRD pattern. Radiation: copper Kα. Structure: a crystal structure in Alexandria, relaxed with PBE.
Lines closer than 0.1° are merged.

Peak list (8 most intense, 2θ from 10° to 90°, most intense first)
d (Å)  2θ (°)  I_rel
2.182  41.38  100
3.070  29.09  90
2.166  41.71  83
6.110  14.50  82
4.364  20.35  78
2.160  41.82  63
3.055  29.23  56
2.503  35.88  52

Crystal structure
Cell lengths 8.641, 8.641, 5.056 Å; angles 90.00, 90.00, 90.00 degrees
Space group I4/mmm (No. 139)
Asymmetric unit:
Pu 0.000 0.000 0.000
Al 0.000 0.221 0.500
Al 0.000 0.343 0.000
Ni 0.250 0.250 0.250

---

This entry pairs a crystal structure of PuAl12Ni6 with its theoretical PXRD pattern. Radiation: copper Kα. Structure: a crystal structure in Alexandria, relaxed with PBE.
Lines closer than 0.1° are merged.

Peak list (8 most intense, 2θ from 10° to 90°, most intense first)
d (Å)  2θ (°)  I_rel
3.297  27.05  100
2.718  32.96  51
2.512  35.74  47
2.474  36.32  45
2.743  32.65  42
1.904  47.76  39
3.809  23.36  39
1.930  47.07  32

Crystal structure
Cell lengths 10.9711, 10.9711, 8.3143 Å; angles 90.00, 90.00, 120.00 degrees
Space group R-3m (No. 166, hexagonal axes)
Asymmetric unit:
Pu 0.0000 0.0000 0.0000
Al 0.0000 0.3812 0.5000
Al 0.0862 0.1724 0.3263
Ni 0.0507 0.5253 0.2515

---

This entry pairs a crystal structure of Al5NiRh4 with its theoretical PXRD pattern. Radiation: copper Kα. Structure: a crystal structure in Alexandria, relaxed with PBE.
Lines closer than 0.1° are merged.

Peak list (8 most intense, 2θ from 10° to 90°, most intense first)
d (Å)  2θ (°)  I_rel
2.112  42.82  100
2.982  29.96  29
1.218  78.51  21
2.995  29.84  15
1.724  53.12  11
1.491  62.26  11
1.221  78.31  10
1.334  70.59  9

Crystal structure
Cell lengths 2.982, 2.982, 14.973 Å; angles 90.00, 90.00, 90.00 degrees
Space group P4/mmm (No. 123)
Asymmetric unit:
Al 0.000 0.000 0.000
Al 0.000 0.000 0.204
Al 0.000 0.000 0.407
Ni 0.500 0.500 0.500
Rh 0.500 0.500 0.101
Rh 0.500 0.500 0.305

---

This entry pairs a crystal structure of AlNi5Rh4 with its theoretical PXRD pattern. Radiation: copper Kα. Structure: a crystal structure in Alexandria, relaxed with PBE.
Lines closer than 0.1° are merged.

Peak list (8 most intense, 2θ from 10° to 90°, most intense first)
d (Å)  2θ (°)  I_rel
2.130  42.43  100
1.875  48.56  17
1.867  48.78  16
1.796  50.84  15
1.122  86.78  12
1.126  86.46  12
1.323  71.29  10
3.591  24.79  9

Crystal structure
Cell lengths 13.340, 3.734, 5.196 Å; angles 90.00, 103.67, 90.00 degrees
Space group C2/m (No. 12)
Asymmetric unit:
Al 0.000 0.000 0.000
Ni 0.000 0.000 0.500
Ni 0.099 0.500 0.794
Ni 0.200 0.000 0.601
Rh 0.097 0.500 0.305
Rh 0.200 0.000 0.101

---

This entry pairs a crystal structure of Al2NiSb with its theoretical PXRD pattern. Radiation: copper Kα. Structure: a crystal structure in Alexandria, relaxed with PBE.
Lines closer than 0.1° are merged.

Peak list (8 most intense, 2θ from 10° to 90°, most intense first)
d (Å)  2θ (°)  I_rel
2.441  36.83  100
4.000  22.23  95
2.003  45.28  53
2.727  32.84  49
2.173  41.56  48
3.934  22.60  38
1.910  47.61  33
2.780  32.20  31

Crystal structure
Cell lengths 8.476, 3.106, 6.082 Å; angles 90.00, 111.82, 90.00 degrees
Space group Cm (No. 8)
Asymmetric unit:
Al 0.000 0.000 0.000
Al 0.200 0.000 0.706
Ni 0.476 0.000 0.682
Sb 0.321 0.500 0.305

---

This entry pairs a crystal structure of AlNi3Sb with its theoretical PXRD pattern. Radiation: copper Kα. Structure: a crystal structure in Alexandria, relaxed with PBE.
Lines closer than 0.1° are merged.

Peak list (8 most intense, 2θ from 10° to 90°, most intense first)
d (Å)  2θ (°)  I_rel
2.064  43.87  100
2.037  44.47  92
4.959  17.89  68
2.900  30.84  56
1.905  47.73  31
1.186  81.06  29
1.450  64.24  29
1.191  80.64  15

Crystal structure
Cell lengths 4.1274, 4.1274, 4.9593 Å; angles 90.00, 90.00, 120.00 degrees
Space group P-6m2 (No. 187)
Asymmetric unit:
Al 0.0000 0.0000 0.0000
Ni 0.0000 0.0000 0.5000
Ni 0.3333 0.6667 0.2430
Sb 0.6667 0.3333 0.5000